For V4H6Ru7, a DFT-relaxed cell (PBE, Alexandria) gives the theoretical X-ray diffraction stick pattern in this record (Cu Kα (weighted mean of Kα1 and Kα2)).

Top 8 peaks for 2θ = 10–90°, by intensity:
1.985 Å, 45.71 deg, I 100; 3.053 Å, 29.26 deg, I 99; 2.068 Å, 43.78 deg, I 92; 2.112 Å, 42.82 deg, I 80; 2.453 Å, 36.63 deg, I 55; 4.525 Å, 19.62 deg, I 38; 1.391 Å, 67.32 deg, I 31; 1.177 Å, 81.82 deg, I 26

```
V4H6Ru7
1.0
-4.136 4.136 2.703
4.136 -4.136 2.703
4.136 4.136 -2.703
V H Ru
4 6 7
Direct
0.000 0.000 0.500
0.000 0.500 0.000
0.500 0.000 0.000
0.500 0.500 0.500
0.144 0.500 0.644
0.174 0.174 0.000
0.500 0.144 0.644
0.500 0.856 0.356
0.826 0.826 0.000
0.856 0.500 0.356
0.000 0.224 0.224
0.000 0.776 0.776
0.224 0.000 0.224
0.250 0.750 0.500
0.500 0.500 0.000
0.750 0.250 0.500
0.776 0.000 0.776
```

=====

For VHRu, a DFT-relaxed cell (PBE, Alexandria) gives the theoretical X-ray diffraction stick pattern in this record (Cu Kα (weighted mean of Kα1 and Kα2)).

Top 8 peaks for 2θ = 10–90°, by intensity:
2.246 Å, 40.14 deg, I 100; 2.236 Å, 40.33 deg, I 99; 1.971 Å, 46.04 deg, I 69; 1.362 Å, 68.94 deg, I 38; 1.884 Å, 48.30 deg, I 30; 1.186 Å, 81.09 deg, I 24; 1.182 Å, 81.45 deg, I 23; 3.768 Å, 23.61 deg, I 23

```
VHRu
1.0
2.779 0.000 0.000
0.000 2.798 0.000
0.000 0.000 3.768
V H Ru
1 1 1
Direct
0.000 0.000 0.000
0.500 0.500 0.000
0.500 0.500 0.500
```

=====

For Zr2H4Ru, a DFT-relaxed cell (PBE, Alexandria) gives the theoretical X-ray diffraction stick pattern in this record (Cu Kα (weighted mean of Kα1 and Kα2)).

Top 8 peaks for 2θ = 10–90°, by intensity:
2.622 Å, 34.20 deg, I 100; 2.505 Å, 35.85 deg, I 98; 3.259 Å, 27.37 deg, I 78; 2.120 Å, 42.65 deg, I 65; 3.501 Å, 25.44 deg, I 63; 2.188 Å, 41.27 deg, I 57; 2.542 Å, 35.31 deg, I 54; 2.180 Å, 41.42 deg, I 51

```
Zr2H4Ru
1.0
5.588 0.000 0.000
0.000 4.240 0.000
-2.756 0.000 6.208
Zr H Ru
4 8 2
Direct
0.207 0.250 0.430
0.277 0.750 0.072
0.723 0.250 0.928
0.793 0.750 0.570
0.193 0.250 0.083
0.344 0.523 0.753
0.344 0.977 0.753
0.378 0.750 0.409
0.622 0.250 0.591
0.656 0.023 0.247
0.656 0.477 0.247
0.807 0.750 0.917
0.138 0.250 0.794
0.862 0.750 0.206
```